Starting from a PBE-relaxed structure, the PXRD pattern of PrTh2Pd9 was calculated for Cu Kα (λ = 1.5418 Å).

Most intense lines, 2θ from 10° to 80°, sorted by position:
2θ = 21.05°, I = 82; 2θ = 29.95°, I = 72; 2θ = 36.90°, I = 1000; 2θ = 42.86°, I = 492; 2θ = 48.22°, I = 42; 2θ = 53.17°, I = 32; 2θ = 62.23°, I = 323; 2θ = 66.47°, I = 21; 2θ = 74.59°, I = 376; 2θ = 78.53°, I = 109

Crystal structure
abc: 4.220 4.220 12.658
angles: 90.00 90.00 90.00
Element x y z (fractional)
Pr  0.000  0.000  0.000
Th  0.000  0.000  0.331
Th  0.000  0.000  0.669
Pd  0.000  0.500  0.171
Pd  0.000  0.500  0.500
Pd  0.000  0.500  0.829
Pd  0.500  0.000  0.171
Pd  0.500  0.000  0.500
Pd  0.500  0.000  0.829
Pd  0.500  0.500  0.000
Pd  0.500  0.500  0.336
Pd  0.500  0.500  0.664